CsPmCoF6: computed PXRD pattern (Cu Kα, 1.54184 Å), based on a structure optimized by DFT (PBE+U).
No peak broadening, texture or thermal motion is included.

Largest 8 diffraction maxima, in order of rising 2θ, 2θ from 10° to 90°:
2θ = 23.5°, intensity 566, hkl 2 0 0; 2θ = 26.7°, intensity 1000, hkl 1 2 1; 2θ = 27.4°, intensity 420, hkl 2 1 1; 2θ = 27.9°, intensity 289, hkl 0 1 3; 2θ = 28.2°, intensity 422, hkl 0 2 2; 2θ = 29.1°, intensity 480, hkl 2 0 2; 2θ = 43.3°, intensity 301, hkl 3 2 1; 2θ = 48.1°, intensity 554, hkl 2 2 4

Crystal structure
abc: 7.592 7.936 10.462
angles: 90.00 90.00 90.00
Space group Imma (No. 74)
One atom of each set of equivalent atoms:
Cs  0.000  0.250  0.093 [4 per cell]
Pm  0.000  0.000  0.500 [4 per cell]
Co  0.250  0.250  0.750 [4 per cell]
F  0.000  0.250  0.389 [4 per cell]
F  0.000  0.250  0.662 [4 per cell]
F  0.241  0.062  0.883 [16 per cell]